The following is a theoretical powder diffractogram of TiF6. It was derived from a crystal structure in Alexandria, relaxed with GGA-PBE, using Cu Ka.
Kinematic intensities with the Lorentz-polarization factor, no thermal factor.

Peak list (10 most intense, 2θ = 15–90°, low angle first)
| Position (°2θ) | d_spacing | I_rel |
| --- | --- | --- |
| 17.1 | 5.184 | 23 |
| 21.4 | 4.150 | 100 |
| 30.0 | 2.980 | 19 |
| 35.2 | 2.548 | 10 |
| 36.8 | 2.444 | 24 |
| 39.8 | 2.266 | 10 |
| 40.6 | 2.221 | 12 |
| 41.7 | 2.166 | 17 |
| 53.1 | 1.725 | 9 |
| 60.7 | 1.526 | 9 |

Cell and atoms:
```
14
Lattice="1.5580 -5.1840 0.0000 1.5580 5.1840 0.0000 -0.7699 0.0000 13.8463" Properties=species:S:1:pos:R:3 pbc="T T T"
Ti 0.0000 0.0000 0.0000
Ti -0.3849 0.0000 6.9232
F 0.7863 4.3360 12.2708
F 1.0108 3.0937 4.0777
F 1.1749 4.3360 8.4987
F 1.7203 3.0937 2.8455
F 0.7910 1.0985 13.2729
F 1.1702 1.0985 7.4966
F 1.1759 -1.0985 6.3497
F 1.5552 -1.0985 0.5734
F 0.6258 -3.0937 11.0008
F 1.1713 -4.3360 5.3476
F 1.3353 -3.0937 9.7687
F 1.5598 -4.3360 1.5756
```

***

The following is a theoretical powder diffractogram of La3Sm2Er5. It was derived from a crystal structure in Alexandria, relaxed with GGA-PBE, using Cu Ka.
Kinematic intensities with the Lorentz-polarization factor, no thermal factor.

Peak list (10 most intense, 2θ = 15–90°, low angle first)
| Position (°2θ) | d_spacing | I_rel |
| --- | --- | --- |
| 29.7 | 3.004 | 100 |
| 30.9 | 2.898 | 91 |
| 31.9 | 2.802 | 20 |
| 33.7 | 2.659 | 43 |
| 36.6 | 2.452 | 17 |
| 48.7 | 1.868 | 19 |
| 57.9 | 1.594 | 15 |
| 60.6 | 1.529 | 19 |
| 63.7 | 1.461 | 20 |
| 68.0 | 1.379 | 17 |

Cell and atoms:
```
20
Lattice="5.3185 -8.2902 0.0000 5.3185 8.2902 0.0000 -5.3142 0.0000 7.6051" Properties=species:S:1:pos:R:3 pbc="T T T"
La 1.2957 2.0839 0.3692
La 1.3328 4.4058 5.7038
La -1.3614 -2.0839 4.1717
La 6.6842 2.0839 3.4334
La 3.9899 -4.4058 1.9013
La 4.0271 -2.0839 7.2359
Sm 1.3053 1.9502 3.4811
Sm -1.3518 -1.9502 7.2836
Sm 6.6745 1.9502 0.3215
Sm 4.0174 -1.9502 4.1240
Er 1.3328 7.8760 5.7038
Er -1.3319 1.8658 5.8490
Er 3.9899 3.7334 1.9013
Er 1.3252 -1.8658 2.0464
Er 3.9899 0.4894 1.9013
Er 1.3328 -0.4894 5.7038
Er 3.9976 1.8658 5.5587
Er 1.3328 -3.7334 5.7038
Er 6.6546 -1.8658 1.7561
Er 3.9899 -7.8760 1.9013
```

***

The following is a theoretical powder diffractogram of MoH2Ru. It was derived from a crystal structure in Alexandria, relaxed with GGA-PBE, using Cu Ka.
Kinematic intensities with the Lorentz-polarization factor, no thermal factor.

Peak list (10 most intense, 2θ = 15–90°, low angle first)
| Position (°2θ) | d_spacing | I_rel |
| --- | --- | --- |
| 35.7 | 2.517 | 16 |
| 35.8 | 2.510 | 8 |
| 39.4 | 2.284 | 24 |
| 41.0 | 2.203 | 100 |
| 54.2 | 1.691 | 15 |
| 64.2 | 1.451 | 11 |
| 72.6 | 1.303 | 18 |
| 77.8 | 1.227 | 6 |
| 78.0 | 1.225 | 13 |
| 78.9 | 1.213 | 9 |

Cell and atoms:
```
16
Lattice="5.8189 0.0000 0.0000 0.0000 5.0206 0.0000 0.0000 0.0000 4.5685" Properties=species:S:1:pos:R:3 pbc="T T T"
Mo 0.7543 0.4078 1.1421
Mo 0.7543 2.1025 3.4264
Mo 5.0646 2.9182 1.1421
Mo 5.0646 4.6128 3.4264
H 0.6378 3.7655 0.0000
H 0.6378 3.7655 2.2843
H 2.2302 1.2552 0.0000
H 2.2302 1.2552 2.2843
H 3.5886 3.7655 0.0000
H 3.5886 3.7655 2.2843
H 5.1810 1.2552 0.0000
H 5.1810 1.2552 2.2843
Ru 2.1925 2.9420 1.1421
Ru 2.1925 4.5889 3.4264
Ru 3.6264 0.4317 1.1421
Ru 3.6264 2.0786 3.4264
```

***

The following is a theoretical powder diffractogram of TlCdPt2. It was derived from a crystal structure in Alexandria, relaxed with GGA-PBE, using Cu Ka.
Kinematic intensities with the Lorentz-polarization factor, no thermal factor.

Peak list (10 most intense, 2θ = 15–90°, low angle first)
| Position (°2θ) | d_spacing | I_rel |
| --- | --- | --- |
| 23.6 | 3.776 | 5 |
| 37.2 | 2.418 | 100 |
| 42.3 | 2.136 | 35 |
| 45.0 | 2.016 | 15 |
| 49.0 | 1.859 | 1 |
| 61.4 | 1.511 | 12 |
| 63.4 | 1.466 | 21 |
| 74.0 | 1.281 | 27 |
| 77.8 | 1.228 | 12 |
| 79.2 | 1.209 | 11 |

Cell and atoms:
```
8
Lattice="4.2729 0.0000 0.0000 0.0000 4.2729 0.0000 0.0000 0.0000 8.0631" Properties=species:S:1:pos:R:3 pbc="T T T"
Tl 0.0000 0.0000 0.0000
Tl 2.1364 2.1364 4.0316
Cd 0.0000 0.0000 4.0316
Cd 2.1364 2.1364 0.0000
Pt 0.0000 2.1364 2.0158
Pt 0.0000 2.1364 6.0473
Pt 2.1364 0.0000 2.0158
Pt 2.1364 0.0000 6.0473
```

***

The following is a theoretical powder diffractogram of Sc3NbH8. It was derived from a crystal structure in Alexandria, relaxed with GGA-PBE, using Cu Ka.
Kinematic intensities with the Lorentz-polarization factor, no thermal factor.

Peak list (10 most intense, 2θ = 15–90°, low angle first)
| Position (°2θ) | d_spacing | I_rel |
| --- | --- | --- |
| 19.0 | 4.681 | 5 |
| 21.2 | 4.188 | 15 |
| 33.1 | 2.703 | 100 |
| 34.5 | 2.597 | 4 |
| 38.5 | 2.341 | 44 |
| 44.3 | 2.043 | 4 |
| 55.5 | 1.655 | 33 |
| 66.2 | 1.412 | 35 |
| 69.6 | 1.351 | 10 |
| 82.4 | 1.170 | 5 |

Cell and atoms:
```
12
Lattice="-2.3411 2.3411 4.6809 2.3411 -2.3411 4.6809 2.3411 2.3411 -4.6809" Properties=species:S:1:pos:R:3 pbc="T T T"
Sc 0.0000 0.0000 0.0000
Sc 2.3411 0.0000 2.3404
Sc 0.0000 2.3411 2.3404
Nb 0.0000 0.0000 4.6809
H 1.2067 1.2067 -1.1286
H 1.1344 -1.1344 3.5522
H 1.2067 1.2067 1.1286
H 1.1344 -1.1344 5.8095
H -1.1344 1.1344 3.5522
H 1.1344 1.1344 3.5522
H -1.1344 1.1344 5.8095
H 1.1344 1.1344 5.8095
```

***

The following is a theoretical powder diffractogram of GdFe10Si2. It was derived from a crystal structure in Alexandria, relaxed with GGA-PBE, using Cu Ka.
Kinematic intensities with the Lorentz-polarization factor, no thermal factor.

Peak list (10 most intense, 2θ = 15–90°, low angle first)
| Position (°2θ) | d_spacing | I_rel |
| --- | --- | --- |
| 21.6 | 4.121 | 17 |
| 30.3 | 2.948 | 13 |
| 30.5 | 2.930 | 24 |
| 37.4 | 2.404 | 17 |
| 37.6 | 2.392 | 37 |
| 43.3 | 2.092 | 25 |
| 43.6 | 2.078 | 100 |
| 43.9 | 2.062 | 72 |
| 49.3 | 1.848 | 16 |
| 72.4 | 1.305 | 16 |

Cell and atoms:
```
13
Lattice="-2.3716 4.1545 4.1833 2.3716 -4.1545 4.1833 2.3716 4.1545 -4.1833" Properties=species:S:1:pos:R:3 pbc="T T T"
Gd 0.0000 0.0000 0.0000
Fe 1.1858 2.0772 -2.0917
Fe 1.1858 -2.0772 2.0917
Fe 2.3716 1.7551 0.0000
Fe 0.0000 2.9511 0.0000
Fe 0.0000 0.0000 3.0216
Fe -1.1858 2.0772 2.0917
Fe 1.1858 2.0772 2.0917
Fe 0.0000 0.0000 5.3450
Fe 0.0000 5.3578 0.0000
Fe 0.0000 2.3993 4.1833
Si 2.3716 0.0000 1.9751
Si 0.0000 4.1545 2.2082
```